1.
Rb7NbAs4: simulated PXRD pattern (CuKα), based on a structure optimized by DFT (GGA-PBE).

Main lines, by intensity (2θ from 10° to 90°):
2θ (°)  I/Imax  hkl
27.78  100.0  2 1 2
26.76  75.8  3 0 1
32.39  60.7  2 3 0
33.12  49.9  4 0 0
51.99  43.1  2 4 3
27.48  41.2  0 2 2
30.74  34.0  1 3 1
31.98  23.7  0 1 3
13.00  20.0  1 0 1
29.58  17.9  0 3 1

Crystal structure
```
data_Rb7NbAs4
_cell_length_a 10.8113
_cell_length_b 9.6488
_cell_length_c 8.7725
_cell_angle_alpha 90.00
_cell_angle_beta 90.00
_cell_angle_gamma 90.00
_symmetry_space_group_name_H-M 'P m n 21'
_symmetry_Int_Tables_number 31
loop_
_symmetry_equiv_pos_as_xyz
'x,y,z'
'-x+1/2,-y,z+1/2'
'-x,y,z'
'x+1/2,-y,z+1/2'
loop_
_atom_site_label
_atom_site_fract_x
_atom_site_fract_y
_atom_site_fract_z
_atom_site_occupancy
Rb1 0.0000 0.0287 0.0000 1
Rb2 0.0000 0.3390 0.7867 1
Rb3 0.0000 0.8879 0.5132 1
Rb4 0.2117 0.5318 0.4955 1
Rb5 0.2149 0.1670 0.3304 1
Nb1 0.0000 0.6727 0.1206 1
As1 0.0000 0.4191 0.1970 1
As2 0.0000 0.6831 0.8331 1
As3 0.1949 0.8005 0.2123 1
```

=====

2.
Rb3Nb2AsSe11: simulated PXRD pattern (CuKα), based on a structure optimized by DFT (GGA-PBE).

Main lines, by intensity (2θ from 10° to 90°):
2θ (°)  I/Imax  hkl
12.85  100.0  1 1 1
29.14  87.7  2 4 -1
32.46  29.6  5 1 1
29.43  24.3  0 2 3
26.64  24.0  3 3 -1
26.95  19.9  1 1 -3
29.90  17.1  5 1 0
37.63  16.7  6 2 0
11.61  16.4  2 0 0
35.43  15.4  0 0 4

Crystal structure
```
data_Rb3Nb2AsSe11
_cell_length_a 15.4754
_cell_length_b 13.8470
_cell_length_c 10.2451
_cell_angle_alpha 90.00
_cell_angle_beta 98.58
_cell_angle_gamma 90.00
_symmetry_space_group_name_H-M 'C 1 c 1'
_symmetry_Int_Tables_number 9
loop_
_symmetry_equiv_pos_as_xyz
'x,y,z'
'x,-y,z+1/2'
'x+1/2,y+1/2,z'
'x+1/2,-y+1/2,z+1/2'
loop_
_atom_site_label
_atom_site_fract_x
_atom_site_fract_y
_atom_site_fract_z
_atom_site_occupancy
Rb1 0.0000 0.0676 0.0000 1
Rb2 0.1143 0.4222 0.7543 1
Rb3 0.2486 0.0796 0.6707 1
Nb1 0.2012 0.2268 0.2718 1
Nb2 0.3839 0.2942 0.0862 1
As1 0.4683 0.1606 0.8254 1
Se1 0.0315 0.1705 0.6710 1
Se2 0.0949 0.3053 0.0807 1
Se3 0.1200 0.3400 0.4270 1
Se4 0.1328 0.0821 0.3300 1
Se5 0.2087 0.2050 0.0177 1
Se6 0.2998 0.4556 0.0259 1
Se7 0.3055 0.3986 0.2472 1
Se8 0.3280 0.2516 0.4716 1
Se9 0.3667 0.1653 0.2865 1
Se10 0.3961 0.1061 0.0123 1
Se11 0.3983 0.3155 0.8333 1
```

=====

3.
NbSiAs: simulated PXRD pattern (CuKα), based on a structure optimized by DFT (GGA-PBE).

Main lines, by intensity (2θ from 10° to 90°):
2θ (°)  I/Imax  hkl
42.65  100.0  1 0 3
36.12  63.7  1 1 0
42.87  45.5  1 1 2
69.45  45.5  2 1 3
37.90  43.2  1 1 1
52.01  42.5  2 0 0
34.00  37.1  1 0 2
27.73  26.3  1 0 1
11.10  23.1  0 0 1
76.65  17.6  2 2 0

Crystal structure
```
data_NbSiAs
_cell_length_a 3.5165
_cell_length_b 3.5165
_cell_length_c 7.9705
_cell_angle_alpha 90.00
_cell_angle_beta 90.00
_cell_angle_gamma 90.00
_symmetry_space_group_name_H-M 'P 4/n m m'
_symmetry_Int_Tables_number 129
loop_
_symmetry_equiv_pos_as_xyz
'x,y,z'
'-x,-y,-z'
'-y+1/2,x,z'
'y+1/2,-x,-z'
'-x+1/2,-y+1/2,z'
'x+1/2,y+1/2,-z'
'y,-x+1/2,z'
'-y,x+1/2,-z'
'x+1/2,-y,-z'
'-x+1/2,y,z'
'-y,-x,-z'
'y,x,z'
'-x,y+1/2,-z'
'x,-y+1/2,z'
'y+1/2,x+1/2,-z'
'-y+1/2,-x+1/2,z'
loop_
_atom_site_label
_atom_site_fract_x
_atom_site_fract_y
_atom_site_fract_z
_atom_site_occupancy
Nb1 0.2500 0.2500 0.2462 1
Si1 0.2500 0.7500 0.5000 1
As1 0.2500 0.2500 0.8887 1
```

=====

4.
Nb3Te3As: simulated PXRD pattern (CuKα), based on a structure optimized by DFT (GGA-PBE).

Main lines, by intensity (2θ from 10° to 90°):
2θ (°)  I/Imax  hkl
35.49  100.0  3 1 0
36.16  98.3  2 1 1
42.61  70.8  2 2 1
63.66  44.1  3 1 2
30.17  43.9  1 1 1
31.76  42.4  2 0 1
78.04  34.4  5 3 1
29.38  33.3  3 0 0
50.51  32.9  3 2 1
26.73  25.2  1 0 1

Crystal structure
```
data_Nb3Te3As
_cell_length_a 10.5307
_cell_length_b 10.5307
_cell_length_c 3.5831
_cell_angle_alpha 90.00
_cell_angle_beta 90.00
_cell_angle_gamma 120.00
_symmetry_space_group_name_H-M 'P 63/m'
_symmetry_Int_Tables_number 176
_symmetry_space_group_name_Hall '-P 6c'
loop_
_atom_site_label
_atom_site_fract_x
_atom_site_fract_y
_atom_site_fract_z
_atom_site_occupancy
Nb1 0.1257 0.5041 0.2500 1
Te1 0.0529 0.7227 0.2500 1
As1 0.3333 0.6667 0.7500 1
```

=====

5.
Nb12TlTe12As4: simulated PXRD pattern (CuKα), based on a structure optimized by DFT (GGA-PBE).

Main lines, by intensity (2θ from 10° to 90°):
2θ (°)  I/Imax  hkl
35.44  100.0  8 0 -1
36.01  91.6  2 2 2
42.46  68.0  4 2 2
29.34  45.9  0 0 3
31.60  39.8  4 2 0
63.28  36.3  8 4 -1
50.36  32.4  4 2 3
30.00  30.8  2 2 -2
26.56  26.7  2 2 0
50.59  25.6  0 4 0

Crystal structure
```
data_Nb12TlTe12As4
_cell_length_a 21.0830
_cell_length_b 7.2171
_cell_length_c 10.5502
_cell_angle_alpha 90.00
_cell_angle_beta 120.02
_cell_angle_gamma 90.00
_symmetry_space_group_name_H-M 'C 1 m 1'
_symmetry_Int_Tables_number 8
loop_
_symmetry_equiv_pos_as_xyz
'x,y,z'
'x,-y,z'
'x+1/2,y+1/2,z'
'x+1/2,-y+1/2,z'
loop_
_atom_site_label
_atom_site_fract_x
_atom_site_fract_y
_atom_site_fract_z
_atom_site_occupancy
Nb1 0.0000 0.0000 0.0000 1
Nb2 0.0005 0.5000 0.0015 1
Nb3 0.1273 0.2499 0.2462 1
Nb4 0.2528 0.2505 0.1295 1
Nb5 0.3113 0.2493 0.4974 1
Nb6 0.3148 0.5000 0.7519 1
Nb7 0.3162 0.0000 0.7510 1
Nb8 0.3748 0.5000 0.1193 1
Nb9 0.3764 0.0000 0.1219 1
Tl1 0.0638 0.0000 0.6243 1
Te1 0.0374 0.0000 0.2902 1
Te2 0.0377 0.5000 0.2933 1
Te3 0.0898 0.2503 0.9543 1
Te4 0.2028 0.2496 0.5724 1
Te5 0.2289 0.5000 0.9029 1
Te6 0.2311 0.0000 0.9061 1
Te7 0.3989 0.2505 0.3464 1
Te8 0.4228 0.5000 0.6775 1
Te9 0.4246 0.0000 0.6761 1
As1 0.2306 0.0000 0.2910 1
As2 0.2306 0.5000 0.2915 1
As3 0.3970 0.2498 0.9575 1
```

=====

6.
NdAs2: simulated PXRD pattern (CuKα), based on a structure optimized by DFT (GGA-PBE).

Main lines, by intensity (2θ from 10° to 90°):
2θ (°)  I/Imax  hkl
33.85  100.0  1 2 -1
34.97  80.7  1 1 2
47.74  43.6  0 3 3
29.36  41.1  0 1 3
38.40  37.9  1 1 -4
27.42  28.5  1 1 -2
43.94  26.6  2 0 -2
25.78  23.8  0 2 0
24.14  18.2  1 0 -2
37.16  18.1  0 2 3

Crystal structure
```
data_NdAs2
_cell_length_a 4.1442
_cell_length_b 6.9119
_cell_length_c 10.6172
_cell_angle_alpha 90.00
_cell_angle_beta 106.80
_cell_angle_gamma 90.00
_symmetry_space_group_name_H-M 'P 1 21/c 1'
_symmetry_Int_Tables_number 14
loop_
_symmetry_equiv_pos_as_xyz
'x,y,z'
'-x,-y,-z'
'-x,y+1/2,-z+1/2'
'x,-y+1/2,z+1/2'
loop_
_atom_site_label
_atom_site_fract_x
_atom_site_fract_y
_atom_site_fract_z
_atom_site_occupancy
Nd1 0.0897 0.1874 0.3597 1
As1 0.2707 0.6230 0.4503 1
As2 0.4616 0.1440 0.6712 1
```

=====

7.
Nd2Ni12As7: simulated PXRD pattern (CuKα), based on a structure optimized by DFT (GGA-PBE).

Main lines, by intensity (2θ from 10° to 90°):
2θ (°)  I/Imax  hkl
37.43  100.0  1 2 1
46.98  27.6  0 0 2
46.71  22.9  3 1 1
51.64  22.4  4 1 0
54.74  18.7  2 3 1
72.37  15.9  4 1 2
31.97  14.2  2 0 1
33.13  13.9  3 0 0
44.69  10.9  4 0 0
40.72  10.9  3 0 1

Crystal structure
```
data_Nd2Ni12As7
_cell_length_a 9.3661
_cell_length_b 9.3661
_cell_length_c 3.8682
_cell_angle_alpha 90.00
_cell_angle_beta 90.00
_cell_angle_gamma 120.00
_symmetry_space_group_name_H-M 'P -6'
_symmetry_Int_Tables_number 174
loop_
_symmetry_equiv_pos_as_xyz
'x,y,z'
'-x+y,-x,-z'
'-y,x-y,z'
'x,y,-z'
'-x+y,-x,z'
'-y,x-y,-z'
loop_
_atom_site_label
_atom_site_fract_x
_atom_site_fract_y
_atom_site_fract_z
_atom_site_occupancy
Nd1 0.0000 0.0000 0.0000 1
Nd2 0.3333 0.6667 0.5000 1
Ni1 0.0477 0.7683 0.5000 1
Ni2 0.0912 0.3793 0.0000 1
Ni3 0.4566 0.2371 0.0000 1
Ni4 0.5166 0.0566 0.5000 1
As1 0.0686 0.6292 0.0000 1
As2 0.2652 0.0454 0.5000 1
As3 0.6667 0.3333 0.5000 1
```

=====

8.
NdNi2As2: simulated PXRD pattern (CuKα), based on a structure optimized by DFT (GGA-PBE).

Main lines, by intensity (2θ from 10° to 90°):
2θ (°)  I/Imax  hkl
34.54  100.0  1 0 3
35.75  91.5  1 1 2
44.21  64.1  2 0 0
57.28  46.2  2 1 3
30.86  26.6  1 1 0
50.49  24.3  1 0 5
64.12  22.1  1 1 6
64.31  20.3  2 2 0
75.81  19.9  3 1 2
69.33  18.6  2 1 5

Crystal structure
```
data_NdNi2As2
_cell_length_a 4.0972
_cell_length_b 4.0972
_cell_length_c 10.0703
_cell_angle_alpha 90.00
_cell_angle_beta 90.00
_cell_angle_gamma 90.00
_symmetry_space_group_name_H-M 'I 4/m m m'
_symmetry_Int_Tables_number 139
_symmetry_space_group_name_Hall '-I 4 2'
loop_
_atom_site_label
_atom_site_fract_x
_atom_site_fract_y
_atom_site_fract_z
_atom_site_occupancy
Nd1 0.0000 0.0000 0.0000 1
Ni1 0.0000 0.5000 0.2500 1
As1 0.0000 0.0000 0.3678 1
```